Diffraction record for SnPd4Se2. The XRD peak list is theoretical, not measured: it uses DFT lattice parameters and positions (GGA-PBE) and Cu Kα (weighted mean of Kα1 and Kα2).
Peak positions follow from Bragg's law for the DFT cell and can differ from measured ones.

Peak list (8 most intense, 2θ = 15–90°, low angle first)
31.8°, I = 18; 35.0°, I = 100; 38.1°, I = 50; 43.6°, I = 39; 48.0°, I = 14; 49.7°, I = 14; 51.0°, I = 18; 65.4°, I = 10

```
14
Lattice="1.7916 -5.5027 0.0000 1.7916 5.5027 0.0000 0.0000 0.0000 13.0786" Properties=species:S:1:pos:R:3 pbc="T T T"
Sn 1.7916 5.2110 9.8089
Sn 1.7916 -5.2110 3.2696
Pd 0.0000 0.0000 0.0000
Pd 0.0000 0.0000 6.5393
Pd 1.7916 1.8156 9.8089
Pd 1.7916 1.7902 1.8620
Pd 1.7916 1.7902 4.6772
Pd 1.7916 -1.7902 8.4013
Pd 1.7916 -1.7902 11.2165
Pd 1.7916 -1.8156 3.2696
Se 1.7916 1.5827 7.3002
Se 1.7916 1.5827 12.3177
Se 1.7916 -1.5827 0.7609
Se 1.7916 -1.5827 5.7784
```